Diffraction record for LuZn5. The X-ray diffraction stick pattern is simulated, not measured: it uses a GGA-PBE-relaxed structure and CuKα.

Top 10 peaks for 2θ = 15–90°, low angle first:
(hkl), d/Å, two_theta, I (rel.)
2 0 1, 3.508, 25.39, 20
2 0 2, 2.903, 30.80, 21
3 0 1, 2.445, 36.75, 47
2 1 2, 2.423, 37.10, 25
2 0 3, 2.350, 38.30, 100
0 0 4, 2.238, 40.29, 15
3 0 2, 2.210, 40.82, 19
2 2 0, 2.201, 41.00, 81
3 0 3, 1.935, 46.95, 14
4 2 3, 1.298, 72.89, 15

Atomic structure:
```
LuZn5
1.0
8.806 0.000 0.000
-4.403 7.626 0.000
0.000 0.000 8.953
Lu Zn
6 30
Direct
0.193 0.386 0.250
0.193 0.807 0.250
0.386 0.193 0.750
0.614 0.807 0.250
0.807 0.193 0.750
0.807 0.614 0.750
0.000 0.000 0.000
0.000 0.000 0.500
0.000 0.500 0.000
0.000 0.500 0.500
0.134 0.567 0.750
0.159 0.318 0.594
0.159 0.318 0.906
0.159 0.841 0.594
0.159 0.841 0.906
0.318 0.159 0.094
0.318 0.159 0.406
0.333 0.667 0.015
0.333 0.667 0.485
0.433 0.567 0.750
0.433 0.866 0.750
0.500 0.000 0.000
0.500 0.000 0.500
0.500 0.500 0.000
0.500 0.500 0.500
0.567 0.134 0.250
0.567 0.433 0.250
0.667 0.333 0.515
0.667 0.333 0.985
0.682 0.841 0.594
0.682 0.841 0.906
0.841 0.159 0.094
0.841 0.159 0.406
0.841 0.682 0.094
0.841 0.682 0.406
0.866 0.433 0.250
```